Zn2Pd12Pt5: theoretical PXRD pattern (Cu Kα (weighted mean of Kα1 and Kα2)), based on a cell relaxed with GGA-PBE.

Atomic structure:
```
Zn2Pd12Pt5
1.0
5.903 -4.182 0.000
5.903 4.182 0.000
-0.060 0.000 6.054
Zn Pd Pt
2 12 5
Direct
0.238 0.762 0.000
0.762 0.238 0.000
0.052 0.052 0.706
0.061 0.557 0.196
0.132 0.664 0.614
0.336 0.868 0.386
0.379 0.379 0.906
0.443 0.939 0.804
0.557 0.061 0.196
0.621 0.621 0.094
0.664 0.132 0.614
0.868 0.336 0.386
0.939 0.443 0.804
0.948 0.948 0.294
0.163 0.163 0.095
0.267 0.267 0.501
0.500 0.500 0.500
0.733 0.733 0.499
0.837 0.837 0.905
```

Principal peaks in the range 10 to 90 degrees two-theta, most intense first:
2θ (°)  d/Å  I (rel.)
40.14  2.246  100
39.93  2.258  77
43.27  2.091  44
47.47  1.915  23
42.63  2.121  19
48.81  1.866  17
66.17  1.412  16
83.04  1.163  16